Theoretical powder X-ray diffraction pattern
Compound: Cr2NiRh8
Radiation: Cu Kα X-rays
Structure: a cell relaxed with PBE
Kinematic intensities with the Lorentz-polarization factor, no thermal factor.

Largest 10 diffraction maxima, by intensity, 2θ from 10° to 80°:
d 2.135, intensity 100.0, hkl 1 2 3; d 1.977, intensity 25.8, hkl 2 0 0; d 2.197, intensity 22.8, hkl 1 1 4; d 1.914, intensity 17.0, hkl 0 0 6; d 2.216, intensity 16.7, hkl 0 3 1; d 1.375, intensity 11.1, hkl 2 0 6; d 2.750, intensity 9.6, hkl 1 0 3; d 1.475, intensity 9.0, hkl 2 3 1; d 2.935, intensity 7.5, hkl 1 1 2; d 1.327, intensity 7.4, hkl 0 3 7

Cell and atoms:
Unit cell a=3.954 b=6.776 c=11.481 alpha=90.00 beta=90.00 gamma=90.00
Space group Immm (No. 71)
Asymmetric unit:
Cr (0.000, 0.000, 0.201)
Ni (0.000, 0.000, 0.500)
Rh (0.000, 0.193, 0.000)
Rh (0.000, 0.284, 0.345)
Rh (0.000, 0.500, 0.152)

Theoretical powder X-ray diffraction pattern
Compound: Mn2Ge
Radiation: Cu Kα X-rays
Structure: a cell relaxed with PBE
Kinematic intensities with the Lorentz-polarization factor, no thermal factor.

Largest 8 diffraction maxima, by intensity, 2θ from 10° to 80°:
d 1.980, intensity 100.0, hkl 2 2 0; d 3.233, intensity 28.1, hkl 1 1 1; d 2.800, intensity 22.8, hkl 2 0 0; d 1.400, intensity 15.0, hkl 4 0 0; d 1.688, intensity 11.7, hkl 3 1 1; d 1.252, intensity 7.2, hkl 4 2 0; d 1.616, intensity 5.7, hkl 2 2 2; d 1.285, intensity 4.5, hkl 3 3 1

Cell and atoms:
Unit cell a=5.600 b=5.600 c=5.600 alpha=90.00 beta=90.00 gamma=90.00
Space group F-43m (No. 216)
Asymmetric unit:
Mn (0.000, 0.000, 0.000)
Mn (0.250, 0.250, 0.250)
Ge (0.250, 0.250, 0.750)

Theoretical powder X-ray diffraction pattern
Compound: PuTlGe2Br8
Radiation: Cu Kα X-rays
Structure: a cell relaxed with PBE
Kinematic intensities with the Lorentz-polarization factor, no thermal factor.

Largest 10 diffraction maxima, by intensity, 2θ from 10° to 80°:
d 5.084, intensity 100.0, hkl 1 1 0; d 4.787, intensity 87.0, hkl 1 -1 0; d 3.257, intensity 81.1, hkl 1 2 0; d 2.511, intensity 74.7, hkl -2 1 2; d 3.286, intensity 74.4, hkl 1 -1 2; d 3.357, intensity 63.9, hkl -1 1 2; d 3.752, intensity 62.9, hkl 1 0 -2; d 2.520, intensity 52.8, hkl 2 1 -2; d 2.304, intensity 49.4, hkl 0 0 4; d 2.190, intensity 48.7, hkl 0 3 2

Cell and atoms:
Unit cell a=6.790 b=7.220 c=9.248 alpha=85.87 beta=87.72 gamma=86.40
Space group P-1 (No. 2)
Asymmetric unit:
Pu (0.000, 0.000, 0.000)
Tl (0.000, 0.000, 0.500)
Ge (0.459, 0.462, 0.752)
Br (0.239, 0.821, 0.783)
Br (0.245, 0.323, 0.970)
Br (0.264, 0.851, 0.221)
Br (0.272, 0.363, 0.550)

Theoretical powder X-ray diffraction pattern
Compound: PmTmTc
Radiation: Cu Kα X-rays
Structure: a cell relaxed with PBE
Kinematic intensities with the Lorentz-polarization factor, no thermal factor.

Largest 10 diffraction maxima, by intensity, 2θ from 10° to 80°:
d 2.678, intensity 100.0, hkl 1 0 3; d 2.464, intensity 58.0, hkl 1 1 0; d 2.038, intensity 31.3, hkl 1 0 5; d 1.460, intensity 30.8, hkl 2 1 3; d 1.324, intensity 30.5, hkl 1 1 8; d 1.742, intensity 20.4, hkl 2 0 0; d 3.357, intensity 20.1, hkl 1 0 1; d 1.938, intensity 15.2, hkl 1 1 4; d 3.140, intensity 14.6, hkl 0 0 4; d 6.280, intensity 12.9, hkl 0 0 2

Cell and atoms:
Unit cell a=3.484 b=3.484 c=12.560 alpha=90.00 beta=90.00 gamma=90.00
Space group I4mm (No. 107)
Asymmetric unit:
Pm (0.000, 0.000, 0.000)
Tm (0.000, 0.000, 0.260)
Tc (0.000, 0.000, 0.636)